Record 1
# K3SmP2O8
Computed X-ray diffraction stick pattern, a wavelength of 1.5418 Å. Input: a crystal structure in Alexandria, relaxed with GGA-PBE.

a = 7.5547 Å, b = 5.7290 Å, c = 9.5727 Å
α = 90.00°, β = 91.09°, γ = 90.00°
Space group P2_1/m (No. 11)
Symmetry-distinct sites (fractional):
K  0.0045  0.2500  0.1910 (multiplicity 2)
K  0.1407  0.7500  0.4097 (multiplicity 2)
K  0.2959  0.2500  0.9165 (multiplicity 2)
Sm  0.4947  0.7500  0.7103 (multiplicity 2)
P  0.2695  0.7500  0.0877 (multiplicity 2)
P  0.3113  0.2500  0.5722 (multiplicity 2)
O  0.0667  0.7500  0.1018 (multiplicity 2)
O  0.2173  0.2500  0.4251 (multiplicity 2)
O  0.2587  0.0281  0.6564 (multiplicity 4)
O  0.3237  0.7500  0.9311 (multiplicity 2)
O  0.3483  0.5279  0.1610 (multiplicity 4)
O  0.4870  0.7500  0.4556 (multiplicity 2)

Top 10 peaks for 10 to 80 degrees two-theta, sorted by position:
2θ (°)	I (rel.)	(hkl)
11.72	100.0	1 0 0
18.05	38.0	0 1 1
21.67	53.0	1 1 1
29.69	38.3	2 1 -1
29.86	36.7	2 0 -2
29.98	73.6	2 1 1
31.22	61.1	0 2 0
32.11	70.6	0 1 3
44.16	19.9	2 2 2
48.14	20.8	4 0 0

=====

Record 2
# K2SnP2O7
Computed X-ray diffraction stick pattern, a wavelength of 1.5418 Å. Input: a crystal structure in Alexandria, relaxed with GGA-PBE.

a = 10.0244 Å, b = 6.9156 Å, c = 13.4248 Å
α = 90.00°, β = 117.87°, γ = 90.00°
Space group P2_1/c (No. 14)
Symmetry-distinct sites (fractional):
K  0.0124  0.1270  0.1452 (multiplicity 4)
K  0.4871  0.6474  0.6631 (multiplicity 4)
Sn  0.2474  0.1435  0.4926 (multiplicity 4)
P  0.1348  0.6315  0.1491 (multiplicity 4)
P  0.3469  0.6446  0.8554 (multiplicity 4)
O  0.0041  0.0175  0.3630 (multiplicity 4)
O  0.1004  0.6914  0.5759 (multiplicity 4)
O  0.2127  0.6978  0.2826 (multiplicity 4)
O  0.2538  0.0060  0.6420 (multiplicity 4)
O  0.3138  0.0475  0.2942 (multiplicity 4)
O  0.3336  0.6310  0.9667 (multiplicity 4)
O  0.4943  0.7433  0.8747 (multiplicity 4)

Top 10 peaks for 10 to 80 degrees two-theta, sorted by position:
2θ (°)	I (rel.)	(hkl)
14.83	100.0	0 1 1
18.67	57.5	1 1 -2
27.26	51.4	2 0 -4
27.43	72.2	1 2 -1
27.74	58.1	2 1 1
29.71	62.2	3 1 -2
29.86	46.4	1 1 -4
30.29	35.8	2 0 2
32.73	38.9	1 2 -3
38.41	27.5	4 1 -3

=====

Record 3
# K3SnP2O8
Computed X-ray diffraction stick pattern, a wavelength of 1.5418 Å. Input: a crystal structure in Alexandria, relaxed with GGA-PBE.

a = 5.6732 Å, b = 5.6732 Å, c = 7.8091 Å
α = 90.00°, β = 90.00°, γ = 120.00°
Space group P-3m1 (No. 164)
Symmetry-distinct sites (fractional):
K  0.0000  0.0000  0.0000 (multiplicity 1)
K  0.3333  0.6667  0.7296 (multiplicity 2)
Sn  0.0000  0.0000  0.5000 (multiplicity 1)
P  0.3333  0.6667  0.2553 (multiplicity 2)
O  0.1824  0.3649  0.3242 (multiplicity 6)
O  0.3333  0.6667  0.0611 (multiplicity 2)

Top 10 peaks for 10 to 80 degrees two-theta, sorted by position:
2θ (°)	I (rel.)	(hkl)
11.33	35.2	0 0 1
18.06	18.4	1 0 0
21.37	41.9	1 0 1
29.22	100.0	0 1 2
31.54	82.6	1 1 0
39.19	14.9	1 0 3
43.53	48.6	2 0 2
54.74	28.3	1 2 2
57.29	26.6	1 1 4
65.85	15.1	2 2 0

=====

Record 4
# KSrPO4
Computed X-ray diffraction stick pattern, a wavelength of 1.5418 Å. Input: a crystal structure in Alexandria, relaxed with GGA-PBE.

a = 7.4472 Å, b = 5.6298 Å, c = 9.7593 Å
α = 90.00°, β = 90.00°, γ = 90.00°
Space group Pnma (No. 62)
Symmetry-distinct sites (fractional):
K  0.1587  0.2500  0.0824 (multiplicity 4)
Sr  0.0007  0.2500  0.6962 (multiplicity 4)
P  0.2262  0.2500  0.4163 (multiplicity 4)
O  0.0181  0.2500  0.4268 (multiplicity 4)
O  0.1919  0.7500  0.0641 (multiplicity 4)
O  0.2119  0.5225  0.8380 (multiplicity 8)

Top 10 peaks for 10 to 80 degrees two-theta, sorted by position:
2θ (°)	I (rel.)	(hkl)
18.19	25.5	0 1 1
26.98	30.0	1 1 2
29.97	17.7	1 0 3
30.20	100.0	2 1 1
31.78	95.5	0 2 0
37.38	18.4	3 0 1
42.15	27.3	1 1 4
44.26	18.2	1 2 3
44.41	32.1	2 2 2
55.25	16.1	3 1 4

=====

Record 5
# KTbPO4
Computed X-ray diffraction stick pattern, a wavelength of 1.5418 Å. Input: a crystal structure in Alexandria, relaxed with GGA-PBE.

a = 8.5945 Å, b = 8.5945 Å, c = 8.5945 Å
α = 90.00°, β = 90.00°, γ = 90.00°
Space group F-43m (No. 216)
Symmetry-distinct sites (fractional):
K  0.0000  0.0000  0.0000 (multiplicity 4)
Tb  0.2500  0.2500  0.2500 (multiplicity 4)
P  0.0000  0.0000  0.5000 (multiplicity 4)
O  0.1046  0.1046  0.3954 (multiplicity 16)

Top 10 peaks for 10 to 80 degrees two-theta, sorted by position:
2θ (°)	I (rel.)	(hkl)
17.88	100.0	1 1 1
29.39	79.5	2 2 0
34.62	35.1	3 1 1
46.03	30.1	3 3 1
52.14	29.0	4 2 2
55.56	14.6	5 1 1
60.98	12.6	4 4 0
64.10	16.5	5 3 1
69.13	11.5	6 2 0
79.67	9.6	7 1 1